Diffraction record for CaZrAs4. The powder XRD pattern is computed, not measured: it uses DFT lattice parameters and positions (GGA-PBE) and a wavelength of 1.5418 Å.

Main lines, by intensity (2θ from 10° to 80°):
| 2theta | Rel. int. |
| --- | --- |
| 37.35 | 100.0 |
| 39.08 | 45.2 |
| 60.23 | 31.7 |
| 66.21 | 27.5 |
| 31.70 | 22.6 |
| 79.65 | 16.6 |
| 19.25 | 13.9 |
| 78.57 | 10.8 |
| 56.46 | 8.1 |
| 45.44 | 6.9 |

Structure:
a = 7.9843 Å, b = 7.9843 Å, c = 7.9843 Å
α = 90.00°, β = 90.00°, γ = 90.00°
Space group F-43m (No. 216)
Asymmetric unit:
Ca: 0.0000 0.0000 0.0000 (multiplicity 4)
Zr: 0.2500 0.2500 0.7500 (multiplicity 4)
As: 0.1237 0.1237 0.3763 (multiplicity 16)

---

Diffraction record for Mn24Al5. The powder XRD pattern is computed, not measured: it uses DFT lattice parameters and positions (GGA-PBE) and a wavelength of 1.5418 Å.

Main lines, by intensity (2θ from 10° to 80°):
| 2theta | Rel. int. |
| --- | --- |
| 44.10 | 100.0 |
| 49.04 | 28.8 |
| 53.64 | 26.1 |
| 25.04 | 9.0 |
| 51.38 | 8.3 |
| 77.46 | 7.2 |
| 75.62 | 5.7 |
| 41.46 | 5.5 |
| 28.99 | 5.5 |
| 14.38 | 5.1 |

Structure:
a = 8.7126 Å, b = 8.7126 Å, c = 8.7126 Å
α = 90.00°, β = 90.00°, γ = 90.00°
Space group I-43m (No. 217)
Asymmetric unit:
Mn: 0.0288 0.3562 0.6438 (multiplicity 24)
Mn: 0.0894 0.0894 0.7171 (multiplicity 24)
Al: 0.0000 0.0000 0.0000 (multiplicity 2)
Al: 0.1846 0.1846 0.1846 (multiplicity 8)

---

Diffraction record for MgZn5Pd3. The powder XRD pattern is computed, not measured: it uses DFT lattice parameters and positions (GGA-PBE) and a wavelength of 1.5418 Å.

Main lines, by intensity (2θ from 10° to 80°):
| 2theta | Rel. int. |
| --- | --- |
| 42.93 | 100.0 |
| 41.87 | 83.9 |
| 41.20 | 64.7 |
| 40.28 | 59.3 |
| 30.52 | 53.3 |
| 41.52 | 51.9 |
| 40.65 | 48.5 |
| 26.41 | 43.6 |
| 42.00 | 33.2 |
| 47.41 | 28.4 |

Structure:
a = 7.6767 Å, b = 5.4174 Å, c = 7.0492 Å
α = 90.00°, β = 108.05°, γ = 90.00°
Space group C2/m (No. 12)
Asymmetric unit:
Mg: 0.0000 0.0000 0.0000 (multiplicity 2)
Zn: 0.0000 0.5000 0.5000 (multiplicity 2)
Zn: 0.1932 0.2352 0.7826 (multiplicity 8)
Pd: 0.0000 0.5000 0.0000 (multiplicity 2)
Pd: 0.1371 0.0000 0.4124 (multiplicity 4)

---

Diffraction record for TlGaF3. The powder XRD pattern is computed, not measured: it uses DFT lattice parameters and positions (GGA-PBE) and a wavelength of 1.5418 Å.

Main lines, by intensity (2θ from 10° to 80°):
| 2theta | Rel. int. |
| --- | --- |
| 25.90 | 100.0 |
| 25.36 | 67.6 |
| 30.84 | 52.7 |
| 26.45 | 50.2 |
| 23.60 | 45.6 |
| 41.60 | 40.9 |
| 29.23 | 35.7 |
| 21.46 | 31.9 |
| 28.24 | 29.8 |
| 40.97 | 29.5 |

Structure:
a = 8.1203 Å, b = 11.5999 Å, c = 4.4609 Å
α = 90.00°, β = 111.82°, γ = 90.00°
Space group Cm (No. 8)
Asymmetric unit:
Tl: 0.0000 0.1934 0.0000 (multiplicity 4)
Ga: 0.1111 0.5000 0.2590 (multiplicity 2)
Ga: 0.3865 0.0000 0.7284 (multiplicity 2)
F: 0.2123 0.1168 0.6411 (multiplicity 4)
F: 0.2851 0.3831 0.3471 (multiplicity 4)
F: 0.4983 0.1068 0.4928 (multiplicity 4)

---

Diffraction record for Li2TbMg4. The powder XRD pattern is computed, not measured: it uses DFT lattice parameters and positions (GGA-PBE) and a wavelength of 1.5418 Å.

Main lines, by intensity (2θ from 10° to 80°):
| 2theta | Rel. int. |
| --- | --- |
| 34.71 | 100.0 |
| 19.15 | 78.0 |
| 34.12 | 65.1 |
| 27.59 | 64.9 |
| 37.84 | 47.9 |
| 22.30 | 34.1 |
| 54.68 | 32.6 |
| 16.04 | 29.7 |
| 37.96 | 26.2 |
| 24.16 | 24.9 |

Structure:
a = 4.7403 Å, b = 22.1043 Å, c = 3.1131 Å
α = 90.00°, β = 90.00°, γ = 90.00°
Space group Cmmm (No. 65)
Asymmetric unit:
Li: 0.0000 0.2189 0.0000 (multiplicity 4)
Tb: 0.0000 0.5000 0.5000 (multiplicity 2)
Mg: 0.0000 0.0814 0.0000 (multiplicity 4)
Mg: 0.0000 0.3469 0.5000 (multiplicity 4)

---

Diffraction record for Cd5Hg6Pb3. The powder XRD pattern is computed, not measured: it uses DFT lattice parameters and positions (GGA-PBE) and a wavelength of 1.5418 Å.

Main lines, by intensity (2θ from 10° to 80°):
| 2theta | Rel. int. |
| --- | --- |
| 34.49 | 100.0 |
| 32.19 | 59.8 |
| 36.38 | 51.1 |
| 33.76 | 28.2 |
| 58.87 | 21.4 |
| 47.33 | 21.0 |
| 69.15 | 16.0 |
| 66.60 | 14.0 |
| 64.70 | 12.9 |
| 56.57 | 12.1 |

Structure:
a = 3.2536 Å, b = 16.6896 Å, c = 13.7799 Å
α = 90.00°, β = 90.00°, γ = 90.00°
Space group Pmmn (No. 59, origin choice 2)
Asymmetric unit:
Cd: 0.2500 0.0795 0.1506 (multiplicity 4)
Cd: 0.2500 0.5841 0.4560 (multiplicity 4)
Cd: 0.2500 0.7500 0.1839 (multiplicity 2)
Hg: 0.2500 0.0977 0.3619 (multiplicity 4)
Hg: 0.2500 0.2500 0.0314 (multiplicity 2)
Hg: 0.2500 0.2500 0.5648 (multiplicity 2)
Hg: 0.2500 0.5881 0.0386 (multiplicity 4)
Pb: 0.2500 0.0868 0.7478 (multiplicity 4)
Pb: 0.2500 0.7500 0.7465 (multiplicity 2)

---

Diffraction record for K3LiTl3I8. The powder XRD pattern is computed, not measured: it uses DFT lattice parameters and positions (GGA-PBE) and a wavelength of 1.5418 Å.

Main lines, by intensity (2θ from 10° to 80°):
| 2theta | Rel. int. |
| --- | --- |
| 25.53 | 100.0 |
| 35.76 | 36.8 |
| 37.06 | 35.3 |
| 10.85 | 24.3 |
| 44.46 | 18.2 |
| 60.11 | 16.0 |
| 20.78 | 14.2 |
| 58.32 | 13.7 |
| 28.02 | 11.8 |
| 52.45 | 11.0 |

Structure:
a = 10.0425 Å, b = 10.0425 Å, c = 23.3854 Å
α = 90.00°, β = 90.00°, γ = 120.00°
Space group R-3m (No. 166, hexagonal axes)
Asymmetric unit:
K: 0.0000 0.5000 0.0000 (multiplicity 9)
Li: 0.0000 0.0000 0.0000 (multiplicity 3)
Tl: 0.0000 0.5000 0.5000 (multiplicity 9)
I: 0.0000 0.0000 0.2499 (multiplicity 6)
I: 0.0435 0.5218 0.7419 (multiplicity 18)

---

Diffraction record for AlTlPt2O. The powder XRD pattern is computed, not measured: it uses DFT lattice parameters and positions (GGA-PBE) and a wavelength of 1.5418 Å.

Main lines, by intensity (2θ from 10° to 80°):
| 2theta | Rel. int. |
| --- | --- |
| 21.93 | 100.0 |
| 34.86 | 85.5 |
| 41.56 | 78.9 |
| 17.23 | 43.4 |
| 57.91 | 40.1 |
| 55.34 | 34.9 |
| 28.02 | 33.6 |
| 50.13 | 30.8 |
| 33.08 | 26.0 |
| 69.41 | 23.4 |

Structure:
a = 5.1473 Å, b = 5.1473 Å, c = 4.0537 Å
α = 90.00°, β = 90.00°, γ = 90.00°
Space group P4/mmm (No. 123)
Asymmetric unit:
Al: 0.0000 0.0000 0.0000 (multiplicity 1)
Tl: 0.5000 0.5000 0.5000 (multiplicity 1)
Pt: 0.0000 0.5000 0.5000 (multiplicity 2)
O: 0.5000 0.5000 0.0000 (multiplicity 1)

---

Diffraction record for Pm4Al2Hg5. The powder XRD pattern is computed, not measured: it uses DFT lattice parameters and positions (GGA-PBE) and a wavelength of 1.5418 Å.

Main lines, by intensity (2θ from 10° to 80°):
| 2theta | Rel. int. |
| --- | --- |
| 31.64 | 100.0 |
| 32.68 | 57.8 |
| 32.56 | 54.3 |
| 37.48 | 39.4 |
| 29.49 | 33.9 |
| 47.86 | 29.8 |
| 34.41 | 29.3 |
| 37.81 | 29.1 |
| 68.35 | 27.0 |
| 33.43 | 25.9 |

Structure:
a = 7.9918 Å, b = 3.8009 Å, c = 9.5469 Å
α = 90.00°, β = 94.44°, γ = 90.00°
Space group P2/m (No. 10)
Asymmetric unit:
Pm: 0.2105 0.0000 0.1410 (multiplicity 2)
Pm: 0.2574 0.0000 0.6178 (multiplicity 2)
Al: 0.0662 0.5000 0.3809 (multiplicity 2)
Hg: 0.1289 0.5000 0.8717 (multiplicity 2)
Hg: 0.4091 0.5000 0.3593 (multiplicity 2)
Hg: 0.5000 0.5000 0.0000 (multiplicity 1)

---

Q: Which formula does entry 3 have?
A: MgZn5Pd3

---

Q: Number 6 is which compound?
A: Cd5Hg6Pb3

---

Q: Number 8 is which compound?
A: AlTlPt2O